No. 1
This entry pairs a crystal structure of CsSi with its computed X-ray diffraction stick pattern. Radiation: copper Kα. Structure: a structure optimized by DFT (GGA-PBE).

The 6 most intense peaks (5 to 70 degrees two-theta), most intense first:
3.958 Å, 22.5 deg, I 1000, (2 1 3); 3.136 Å, 28.5 deg, I 858, (3 2 1); 3.019 Å, 29.6 deg, I 736, (2 1 5); 2.740 Å, 32.7 deg, I 325, (4 0 2); 3.620 Å, 24.6 deg, I 280, (2 0 4); 1.860 Å, 49.0 deg, I 275, (4 4 4)

Crystal structure
Cell: 11.4701 11.4701 18.6690 Å, 90.00 90.00 90.00°
Space group I4_1/acd (No. 142, origin choice 2)
Inequivalent atoms, fractional coordinates:
Cs  0.1214  0.1286  0.1250
Cs  0.1398  0.0000  0.7500
Si  0.0569  0.1601  0.9211

No. 2
This entry pairs a crystal structure of CsSi2 with its computed X-ray diffraction stick pattern. Radiation: copper Kα. Structure: a structure optimized by DFT (GGA-PBE).

The 6 most intense peaks (5 to 70 degrees two-theta), most intense first:
3.244 Å, 27.5 deg, I 1000, (0 1 2); 2.815 Å, 31.8 deg, I 956, (1 0 4); 3.385 Å, 26.3 deg, I 769, (1 0 1); 3.272 Å, 27.3 deg, I 553, (0 0 6); 2.586 Å, 34.7 deg, I 472, (0 1 5); 1.697 Å, 54.0 deg, I 470, (1 1 6)

Crystal structure
Cell: 3.9685 3.9685 19.6335 Å, 90.00 90.00 120.00°
Space group R3m (No. 160, hexagonal axes)
Inequivalent atoms, fractional coordinates:
Cs  0.0000  0.0000  0.0000
Si  0.0000  0.0000  0.1902
Si  0.0000  0.0000  0.4904

No. 3
This entry pairs a crystal structure of CsSi2 with its computed X-ray diffraction stick pattern. Radiation: copper Kα. Structure: a structure optimized by DFT (GGA-PBE).

The 6 most intense peaks (5 to 70 degrees two-theta), most intense first:
3.123 Å, 28.6 deg, I 1000, (0 2 1); 3.049 Å, 29.3 deg, I 888, (1 1 1); 3.380 Å, 26.4 deg, I 618, (1 0 1); 3.349 Å, 26.6 deg, I 436, (0 0 2); 2.394 Å, 37.6 deg, I 391, (1 1 2); 4.859 Å, 18.3 deg, I 385, (0 1 1)

Crystal structure
Cell: 3.9155 7.0617 6.6972 Å, 90.00 90.00 90.00°
Space group Pmn2_1 (No. 31)
Inequivalent atoms, fractional coordinates:
Cs  0.0000  0.1105  0.0000
Si  0.0000  0.4084  0.5239
Si  0.0000  0.5841  0.8282

No. 4
This entry pairs a crystal structure of CsSi with its computed X-ray diffraction stick pattern. Radiation: copper Kα. Structure: a structure optimized by DFT (GGA-PBE).

The 6 most intense peaks (5 to 70 degrees two-theta), most intense first:
3.595 Å, 24.8 deg, I 1000, (1 3 0); 3.160 Å, 28.2 deg, I 912, (1 1 1); 3.433 Å, 26.0 deg, I 494, (0 2 1); 2.849 Å, 31.4 deg, I 335, (2 0 0); 2.192 Å, 41.2 deg, I 286, (2 2 1); 5.272 Å, 16.8 deg, I 258, (1 1 0)

Crystal structure
Cell: 5.6976 13.8988 3.9485 Å, 90.00 90.00 90.00°
Space group Cmcm (No. 63)
Inequivalent atoms, fractional coordinates:
Cs  0.0000  0.1508  0.2500
Si  0.0000  0.4529  0.2500

No. 5
This entry pairs a crystal structure of CsSi2 with its computed X-ray diffraction stick pattern. Radiation: copper Kα. Structure: a structure optimized by DFT (GGA-PBE).

The 6 most intense peaks (5 to 70 degrees two-theta), most intense first:
3.737 Å, 23.8 deg, I 1000, (0 2 0); 3.588 Å, 24.8 deg, I 424, (1 1 -1); 3.069 Å, 29.1 deg, I 413, (2 0 1); 2.446 Å, 36.7 deg, I 222, (4 2 0); 2.878 Å, 31.1 deg, I 192, (4 0 -1); 1.795 Å, 50.9 deg, I 168, (2 2 -2)

Crystal structure
Cell: 13.3550 7.4699 4.0994 Å, 90.00 104.12 90.00°
Space group Cm (No. 8)
Inequivalent atoms, fractional coordinates:
Cs  0.0000  0.0000  0.0000
Cs  0.1662  0.5000  0.6874
Si  0.2365  0.0000  0.6294
Si  0.3522  0.1702  0.3944
Si  0.4169  0.0000  0.9391

No. 6
This entry pairs a crystal structure of Cs3SiTc with its computed X-ray diffraction stick pattern. Radiation: copper Kα. Structure: a structure optimized by DFT (GGA-PBE).

The 6 most intense peaks (5 to 70 degrees two-theta), most intense first:
2.970 Å, 30.1 deg, I 1000, (2 0 0); 5.939 Å, 14.9 deg, I 805, (1 0 0); 2.100 Å, 43.1 deg, I 732, (2 2 0); 3.429 Å, 26.0 deg, I 729, (1 1 1); 2.656 Å, 33.7 deg, I 444, (2 1 0); 1.791 Å, 51.0 deg, I 332, (3 1 1)

Crystal structure
Cell: 5.9394 5.9394 5.9394 Å, 90.00 90.00 90.00°
Space group Pm-3m (No. 221)
Inequivalent atoms, fractional coordinates:
Cs  0.0000  0.0000  0.5000
Si  0.5000  0.5000  0.5000
Tc  0.0000  0.0000  0.0000